Simulated powder XRD pattern
Compound: Ca5V3ClO12
Radiation: Cu Kα (weighted mean of Kα1 and Kα2)
Structure: the PBE+U geometry in Alexandria
Kinematic intensities with the Lorentz-polarization factor, no thermal factor.

Cell and atoms:
a b c (Å): 10.3930 10.3930 6.7062
angles (deg): 90.00 90.00 120.00
Element x y z (fractional)
Ca (0.0404, 0.2733, 0.2500)
Ca (0.2328, 0.9596, 0.2500)
Ca (0.2733, 0.2328, 0.7500)
Ca (0.3333, 0.6667, 0.5042)
Ca (0.3333, 0.6667, 0.9958)
Ca (0.6667, 0.3333, 0.0042)
Ca (0.6667, 0.3333, 0.4958)
Ca (0.7267, 0.7672, 0.2500)
Ca (0.7672, 0.0404, 0.7500)
Ca (0.9596, 0.7267, 0.7500)
V (0.0293, 0.6144, 0.2500)
V (0.3856, 0.4149, 0.2500)
V (0.4149, 0.0293, 0.7500)
V (0.5851, 0.9707, 0.2500)
V (0.6144, 0.5851, 0.7500)
V (0.9707, 0.3856, 0.7500)
Cl (0.0000, 0.0000, 0.0000)
Cl (0.0000, 0.0000, 0.5000)
O (0.0829, 0.7344, 0.0469)
O (0.0829, 0.7344, 0.4531)
O (0.1439, 0.5331, 0.2500)
O (0.1562, 0.5183, 0.7500)
O (0.2656, 0.3486, 0.0469)
O (0.2656, 0.3486, 0.4531)
O (0.3486, 0.0829, 0.5469)
O (0.3486, 0.0829, 0.9531)
O (0.3620, 0.8438, 0.7500)
O (0.3892, 0.8561, 0.2500)
O (0.4669, 0.6108, 0.2500)
O (0.4817, 0.6380, 0.7500)
O (0.5183, 0.3620, 0.2500)
O (0.5331, 0.3892, 0.7500)
O (0.6108, 0.1439, 0.7500)
O (0.6380, 0.1562, 0.2500)
O (0.6514, 0.9171, 0.0469)
O (0.6514, 0.9171, 0.4531)
O (0.7344, 0.6514, 0.5469)
O (0.7344, 0.6514, 0.9531)
O (0.8438, 0.4817, 0.2500)
O (0.8561, 0.4669, 0.7500)
O (0.9171, 0.2656, 0.5469)
O (0.9171, 0.2656, 0.9531)

Largest 10 diffraction maxima, low angle first, 10 to 80 degrees two-theta:
| Position (°2θ) | I/Imax | index |
| --- | --- | --- |
| 23.81 | 22.3 | 2 0 1 |
| 26.58 | 17.0 | 0 0 2 |
| 29.44 | 100.0 | 1 2 1 |
| 29.78 | 66.6 | 3 0 0 |
| 31.76 | 62.7 | 1 1 2 |
| 38.48 | 25.1 | 3 1 1 |
| 44.09 | 29.2 | 2 2 2 |
| 48.74 | 27.0 | 1 2 3 |
| 52.01 | 18.2 | 2 3 2 |
| 54.75 | 19.5 | 0 0 4 |